[1]
Starting from a cell relaxed with PBE+U, the powder XRD pattern of Fe5B6O18 was calculated for Cu Kα, 1.54184 Å.
Intensities are scaled so that the largest is 100.

Atomic structure:
```
data_Fe5B6O18
_cell_length_a 3.9120
_cell_length_b 15.9326
_cell_length_c 11.9693
_cell_angle_alpha 90.00
_cell_angle_beta 90.00
_cell_angle_gamma 90.00
_symmetry_space_group_name_H-M 'P m m n'
_symmetry_Int_Tables_number 59
loop_
_symmetry_equiv_pos_as_xyz
'x,y,z'
'-x,-y,-z'
'-x+1/2,-y+1/2,z'
'x+1/2,y+1/2,-z'
'x+1/2,-y,-z'
'-x+1/2,y,z'
'-x,y+1/2,-z'
'x,-y+1/2,z'
loop_
_atom_site_label
_atom_site_fract_x
_atom_site_fract_y
_atom_site_fract_z
_atom_site_occupancy
Fe1 0.2500 0.0597 0.0533 1
Fe2 0.2500 0.2500 0.0090 1
Fe3 0.2500 0.6339 0.1299 1
B1 0.2500 0.0175 0.2984 1
B2 0.2500 0.1726 0.2542 1
B3 0.2500 0.6248 0.3793 1
O1 0.2500 0.1023 0.3214 1
O2 0.2500 0.1402 0.9156 1
O3 0.2500 0.1658 0.1389 1
O4 0.2500 0.2500 0.3048 1
O5 0.2500 0.5117 0.1901 1
O6 0.2500 0.5376 0.3863 1
O7 0.2500 0.5572 0.9816 1
O8 0.2500 0.6657 0.4800 1
O9 0.2500 0.6687 0.2818 1
O10 0.2500 0.7500 0.0436 1
```

Top 8 peaks for 2θ = 5–70°, in order of rising 2θ:
7.39°, I = 100, hkl 0 0 1
14.80°, I = 4, hkl 0 0 2
23.93°, I = 23, hkl 1 0 1
24.58°, I = 3, hkl 1 1 1
31.78°, I = 5, hkl 0 4 3
32.54°, I = 4, hkl 1 1 3
36.36°, I = 3, hkl 1 5 0
46.42°, I = 6, hkl 2 0 0


[2]
Starting from a cell relaxed with PBE+U, the powder XRD pattern of Fe2BO4 was calculated for Cu Kα, 1.54184 Å.
Intensities are scaled so that the largest is 100.

Atomic structure:
```
data_Fe2BO4
_cell_length_a 6.3483
_cell_length_b 9.4741
_cell_length_c 9.3716
_cell_angle_alpha 90.00
_cell_angle_beta 90.51
_cell_angle_gamma 90.00
_symmetry_space_group_name_H-M 'P 1 c 1'
_symmetry_Int_Tables_number 7
loop_
_symmetry_equiv_pos_as_xyz
'x,y,z'
'x,-y,z+1/2'
loop_
_atom_site_label
_atom_site_fract_x
_atom_site_fract_y
_atom_site_fract_z
_atom_site_occupancy
Fe1 0.0000 0.0547 0.0000 1
Fe2 0.0002 0.3194 0.4839 1
Fe3 0.2505 0.4436 0.2134 1
Fe4 0.2510 0.1869 0.7145 1
Fe5 0.4985 0.3162 0.4851 1
Fe6 0.4992 0.0592 0.9991 1
Fe7 0.7494 0.1854 0.7194 1
Fe8 0.7497 0.4438 0.2073 1
B1 0.2406 0.1256 0.2685 1
B2 0.5063 0.3762 0.9379 1
B3 0.7618 0.1268 0.2669 1
B4 0.9935 0.3759 0.9396 1
O1 0.2327 0.0016 0.8473 1
O2 0.2338 0.1159 0.1219 1
O3 0.2466 0.3667 0.6212 1
O4 0.2542 0.2546 0.3338 1
O5 0.5002 0.1304 0.6026 1
O6 0.5009 0.2448 0.8684 1
O7 0.5100 0.3799 0.0838 1
O8 0.5106 0.4993 0.3592 1
O9 0.7479 0.3675 0.6250 1
O10 0.7539 0.2568 0.3329 1
O11 0.7654 0.0005 0.3467 1
O12 0.7666 0.1175 0.1212 1
O13 0.9884 0.3821 0.0853 1
O14 0.9906 0.4989 0.8589 1
O15 0.9982 0.1310 0.5967 1
O16 0.9993 0.2433 0.8720 1
```

Top 8 peaks for 2θ = 5–70°, in order of rising 2θ:
13.29°, I = 24, hkl 0 1 1
21.01°, I = 39, hkl 0 2 1
29.86°, I = 31, hkl 0 3 1
33.97°, I = 56, hkl 2 0 -2
34.25°, I = 100, hkl 2 0 2
34.39°, I = 21, hkl 0 2 3
57.11°, I = 19, hkl 2 3 4
58.13°, I = 20, hkl 4 0 0


[3]
Starting from a cell relaxed with PBE+U, the powder XRD pattern of Fe2BO4 was calculated for Cu Kα, 1.54184 Å.
Intensities are scaled so that the largest is 100.

Atomic structure:
```
data_Fe2BO4
_cell_length_a 6.2125
_cell_length_b 9.5572
_cell_length_c 9.2930
_cell_angle_alpha 90.00
_cell_angle_beta 90.00
_cell_angle_gamma 90.00
_symmetry_space_group_name_H-M 'P m c 21'
_symmetry_Int_Tables_number 26
loop_
_symmetry_equiv_pos_as_xyz
'x,y,z'
'-x,-y,z+1/2'
'-x,y,z'
'x,-y,z+1/2'
loop_
_atom_site_label
_atom_site_fract_x
_atom_site_fract_y
_atom_site_fract_z
_atom_site_occupancy
Fe1 0.0000 0.0565 0.0000 1
Fe2 0.0000 0.3205 0.4965 1
Fe3 0.2530 0.1882 0.7157 1
Fe4 0.2553 0.4438 0.2148 1
Fe5 0.5000 0.0622 0.9995 1
Fe6 0.5000 0.3099 0.4887 1
B1 0.0000 0.3733 0.9419 1
B2 0.2557 0.1264 0.2740 1
B3 0.5000 0.3754 0.9452 1
O1 0.0000 0.1301 0.5940 1
O2 0.0000 0.2436 0.8735 1
O3 0.0000 0.3833 0.0892 1
O4 0.0000 0.4961 0.8597 1
O5 0.2499 0.1228 0.1265 1
O6 0.2529 0.0006 0.3495 1
O7 0.2630 0.2559 0.3447 1
O8 0.2723 0.3757 0.6090 1
O9 0.5000 0.1326 0.5821 1
O10 0.5000 0.2496 0.8687 1
O11 0.5000 0.3713 0.0915 1
O12 0.5000 0.4947 0.3740 1
```

Top 8 peaks for 2θ = 5–70°, in order of rising 2θ:
13.29°, I = 25, hkl 0 1 1
20.90°, I = 36, hkl 0 2 1
29.64°, I = 31, hkl 0 3 1
34.12°, I = 42, hkl 0 3 2
34.51°, I = 22, hkl 0 2 3
34.74°, I = 100, hkl 2 0 2
50.52°, I = 24, hkl 2 3 3
61.27°, I = 22, hkl 2 2 5


[4]
Starting from a cell relaxed with PBE+U, the powder XRD pattern of Fe2BP3O12 was calculated for Cu Kα, 1.54184 Å.
Intensities are scaled so that the largest is 100.

Atomic structure:
```
data_Fe2BP3O12
_cell_length_a 8.1270
_cell_length_b 8.1270
_cell_length_c 7.5129
_cell_angle_alpha 90.00
_cell_angle_beta 90.00
_cell_angle_gamma 120.00
_symmetry_space_group_name_H-M 'P 63/m'
_symmetry_Int_Tables_number 176
_symmetry_space_group_name_Hall '-P 6c'
loop_
_atom_site_label
_atom_site_fract_x
_atom_site_fract_y
_atom_site_fract_z
_atom_site_occupancy
Fe1 0.3333 0.6667 0.0484 1
B1 0.0000 0.0000 0.2500 1
P1 0.0450 0.6848 0.7500 1
O1 0.0561 0.1894 0.2500 1
O2 0.1263 0.5210 0.2500 1
O3 0.1621 0.7279 0.5801 1
```

Top 8 peaks for 2θ = 5–70°, in order of rising 2θ:
12.58°, I = 53, hkl 1 0 0
21.87°, I = 34, hkl 1 1 0
24.91°, I = 100, hkl 1 1 1
26.90°, I = 39, hkl 1 0 2
28.00°, I = 23, hkl 2 0 1
32.46°, I = 48, hkl 1 1 2
34.94°, I = 22, hkl 2 0 2
60.10°, I = 24, hkl 3 1 3


[5]
Starting from a cell relaxed with PBE+U, the powder XRD pattern of FeBPbO4 was calculated for Cu Kα, 1.54184 Å.
Intensities are scaled so that the largest is 100.

Atomic structure:
```
data_FeBPbO4
_cell_length_a 7.0979
_cell_length_b 6.0323
_cell_length_c 8.5649
_cell_angle_alpha 90.00
_cell_angle_beta 90.00
_cell_angle_gamma 90.00
_symmetry_space_group_name_H-M 'P n m a'
_symmetry_Int_Tables_number 62
loop_
_symmetry_equiv_pos_as_xyz
'x,y,z'
'-x,-y,-z'
'-x+1/2,-y,z+1/2'
'x+1/2,y,-z+1/2'
'x+1/2,-y+1/2,-z+1/2'
'-x+1/2,y+1/2,z+1/2'
'-x,y+1/2,-z'
'x,-y+1/2,z'
loop_
_atom_site_label
_atom_site_fract_x
_atom_site_fract_y
_atom_site_fract_z
_atom_site_occupancy
Fe1 0.0000 0.0000 0.0000 1
B1 0.2196 0.2500 0.2659 1
Pb1 0.0614 0.7500 0.3527 1
O1 0.1060 0.2500 0.8853 1
O2 0.1698 0.0508 0.1949 1
O3 0.1856 0.7500 0.9081 1
```

Top 8 peaks for 2θ = 5–70°, in order of rising 2θ:
17.99°, I = 97, hkl 0 1 1
25.09°, I = 32, hkl 2 0 0
27.20°, I = 29, hkl 2 0 1
28.49°, I = 100, hkl 1 1 2
31.05°, I = 50, hkl 2 1 1
33.84°, I = 47, hkl 1 0 3
33.95°, I = 53, hkl 1 2 1
52.44°, I = 40, hkl 0 2 4


[6]
Starting from a cell relaxed with PBE+U, the powder XRD pattern of SmFe3B4O12 was calculated for Cu Kα, 1.54184 Å.
Intensities are scaled so that the largest is 100.

Atomic structure:
```
data_SmFe3B4O12
_cell_length_a 10.2728
_cell_length_b 10.2728
_cell_length_c 6.5724
_cell_angle_alpha 90.00
_cell_angle_beta 90.00
_cell_angle_gamma 120.00
_symmetry_space_group_name_H-M 'R 3 2'
_symmetry_Int_Tables_number 155
_symmetry_space_group_name_Hall 'R 3 2"'
loop_
_atom_site_label
_atom_site_fract_x
_atom_site_fract_y
_atom_site_fract_z
_atom_site_occupancy
Sm1 0.0000 0.0000 0.0000 1
Fe1 0.0000 0.5797 0.0000 1
B1 0.0000 0.0000 0.5000 1
B2 0.0000 0.3175 0.0000 1
O1 0.0000 0.5827 0.5000 1
O2 0.0000 0.8654 0.5000 1
O3 0.0450 0.2582 0.1757 1
```

Top 8 peaks for 2θ = 5–70°, in order of rising 2θ:
16.77°, I = 25, hkl 1 0 1
24.16°, I = 100, hkl 0 2 1
29.85°, I = 40, hkl 2 1 1
30.14°, I = 66, hkl 3 0 0
33.92°, I = 79, hkl 2 0 2
38.30°, I = 33, hkl 1 2 2
46.00°, I = 38, hkl 3 1 2
46.60°, I = 35, hkl 3 2 1


[7]
Starting from a cell relaxed with PBE+U, the powder XRD pattern of TbFe3B4O12 was calculated for Cu Kα, 1.54184 Å.
Intensities are scaled so that the largest is 100.

Atomic structure:
```
data_TbFe3B4O12
_cell_length_a 9.6208
_cell_length_b 9.6208
_cell_length_c 7.6617
_cell_angle_alpha 90.00
_cell_angle_beta 90.00
_cell_angle_gamma 120.00
_symmetry_space_group_name_H-M 'P 31 2 1'
_symmetry_Int_Tables_number 152
loop_
_symmetry_equiv_pos_as_xyz
'x,y,z'
'-y,x-y,z+1/3'
'-x+y,-x,z+2/3'
'y,x,-z'
'x-y,-y,-z+2/3'
'-x,-x+y,-z+1/3'
loop_
_atom_site_label
_atom_site_fract_x
_atom_site_fract_y
_atom_site_fract_z
_atom_site_occupancy
Tb1 0.0000 0.3351 0.1667 1
Fe1 0.0000 0.8849 0.1667 1
Fe2 0.2125 0.6634 0.4885 1
B1 0.0000 0.3318 0.6667 1
B2 0.0000 0.7779 0.6667 1
B3 0.1243 0.6763 0.9855 1
O1 0.0000 0.1881 0.6667 1
O2 0.0000 0.9216 0.6667 1
O3 0.0088 0.5343 0.3517 1
O4 0.1221 0.8172 0.0113 1
O5 0.1447 0.4746 0.6577 1
O6 0.1472 0.7853 0.6482 1
O7 0.2755 0.6945 0.9613 1
```

Top 8 peaks for 2θ = 5–70°, in order of rising 2θ:
15.71°, I = 33, hkl 1 0 1
18.44°, I = 26, hkl 1 1 0
24.32°, I = 84, hkl 0 2 1
30.70°, I = 27, hkl 2 1 1
31.73°, I = 100, hkl 2 0 2
37.39°, I = 26, hkl 2 2 0
45.86°, I = 20, hkl 3 1 2
52.24°, I = 30, hkl 2 2 3